# MnAlF5
Simulated powder diffractogram, copper Kα. Input: a DFT-relaxed cell (GGA+U, Alexandria).
Peak positions follow from Bragg's law for the DFT cell and can differ from measured ones.

Structural model:
```
MnAlF5
1.0
1.8150 -5.0135 0.0000
1.8150 5.0135 0.0000
0.0000 0.0000 9.6803
Mn Al F
2 2 10
direct
0.0000 0.0000 0.0000
0.0000 0.0000 0.5000
0.2940 0.7060 0.7500
0.7060 0.2940 0.2500
0.1699 0.8301 0.6177
0.1699 0.8301 0.8823
0.1928 0.8072 0.2500
0.4265 0.5735 0.6152
0.4265 0.5735 0.8848
0.5735 0.4265 0.1152
0.5735 0.4265 0.3848
0.8072 0.1928 0.7500
0.8301 0.1699 0.1177
0.8301 0.1699 0.3823
```

The 8 most intense peaks (5° ≤ 2θ ≤ 70°), sorted by position:
- 25.58 deg, intensity 100
- 27.71 deg, intensity 33
- 32.09 deg, intensity 34
- 45.84 deg, intensity 21
- 45.97 deg, intensity 20
- 50.27 deg, intensity 24
- 53.10 deg, intensity 27
- 57.24 deg, intensity 18